Structure and theoretical X-ray powder pattern of Li3Mn2F9 (a cell relaxed with GGA+U; Cu Kα).

Cell lengths 5.3512, 5.3512, 15.6026 Å; angles 91.00, 91.00, 119.54 degrees
Atoms (fractional coordinates):
Li (0.0212, 0.7130, 0.3014)
Li (0.1128, 0.8872, 0.5000)
Li (0.6426, 0.9100, 0.6080)
Li (0.7130, 0.0212, 0.8014)
Li (0.8872, 0.1128, 0.0000)
Li (0.9100, 0.6426, 0.1080)
Mn (0.1744, 0.7472, 0.9053)
Mn (0.6220, 0.9993, 0.2069)
Mn (0.7472, 0.1744, 0.4053)
Mn (0.9993, 0.6220, 0.7069)
F (0.9999, 0.5194, 0.0009)
F (0.0445, 0.4124, 0.8357)
F (0.0642, 0.1985, 0.4610)
F (0.1985, 0.0642, 0.9610)
F (0.2102, 0.7490, 0.1893)
F (0.2872, 0.9325, 0.7948)
F (0.2906, 0.6121, 0.6498)
F (0.4124, 0.0445, 0.3357)
F (0.5194, 0.9999, 0.5009)
F (0.5992, 0.8845, 0.9188)
F (0.6121, 0.2906, 0.1498)
F (0.6753, 0.7392, 0.2699)
F (0.7392, 0.6753, 0.7699)
F (0.7490, 0.2102, 0.6893)
F (0.8118, 0.9359, 0.1079)
F (0.8845, 0.5992, 0.4188)
F (0.9325, 0.2872, 0.2948)
F (0.9359, 0.8118, 0.6079)

Most intense lines, 2θ = 15–90°, sorted by position:
d (Å), I (rel.)
4.653, 41
4.624, 75
4.496, 100
4.426, 41
3.898, 28
3.416, 44
2.628, 21
1.651, 22